[1]
V8Ga3H2: computed powder XRD pattern (copper Kα), based on a crystal structure in Alexandria, relaxed with PBE.
Lines closer than 0.1° are merged.

Structure:
```
data_V8Ga3H2
_space_group_name_H-M_alt 'R -3 m'
_space_group_IT_number 166
_space_group_name_Hall '-R 3 2"'
_cell_length_a 5.0850
_cell_length_b 5.0850
_cell_length_c 21.7612
_cell_angle_alpha 90.00
_cell_angle_beta 90.00
_cell_angle_gamma 120.00
loop_
_atom_site_label
_atom_site_fract_x
_atom_site_fract_y
_atom_site_fract_z
V1 0.0000 0.0000 0.1880
V2 0.9996 0.4998 0.2682
Ga1 0.0000 0.0000 0.3013
Ga2 0.0000 0.0000 0.5000
H1 0.0000 0.0000 0.1096
```

Peak list (10 most intense, 10° ≤ 2θ ≤ 80°, sorted by position)
2theta, Rel. int.
35.3, 55
37.2, 46
38.9, 33
41.9, 100
43.5, 80
44.4, 74
46.2, 39
46.6, 50
71.3, 26
74.7, 37

=====

[2]
V2GaH: computed powder XRD pattern (copper Kα), based on a crystal structure in Alexandria, relaxed with PBE.
Lines closer than 0.1° are merged.

Structure:
```
data_V2GaH
_space_group_name_H-M_alt 'C c c m'
_space_group_IT_number 66
_space_group_name_Hall '-C 2 2c'
_cell_length_a 4.6034
_cell_length_b 8.3748
_cell_length_c 4.5864
_cell_angle_alpha 90.00
_cell_angle_beta 90.00
_cell_angle_gamma 90.00
loop_
_atom_site_label
_atom_site_fract_x
_atom_site_fract_y
_atom_site_fract_z
V1 0.2341 0.0765 0.0000
Ga1 0.2500 0.2500 0.5000
H1 0.0000 0.5000 0.2500
```

Peak list (10 most intense, 10° ≤ 2θ ≤ 80°, sorted by position)
2theta, Rel. int.
29.5, 7
39.1, 32
39.3, 32
42.7, 100
43.2, 1
56.7, 20
67.1, 6
73.4, 17
73.6, 18
73.8, 1

=====

[3]
V4GaH2: computed powder XRD pattern (copper Kα), based on a crystal structure in Alexandria, relaxed with PBE.
Lines closer than 0.1° are merged.

Structure:
```
data_V4GaH2
_space_group_name_H-M_alt 'C m c m'
_space_group_IT_number 63
_space_group_name_Hall '-C 2c 2'
_cell_length_a 3.1105
_cell_length_b 9.7848
_cell_length_c 9.6838
_cell_angle_alpha 90.00
_cell_angle_beta 90.00
_cell_angle_gamma 90.00
loop_
_atom_site_label
_atom_site_fract_x
_atom_site_fract_y
_atom_site_fract_z
V1 0.0000 0.0000 0.0000
V2 0.0000 0.2922 0.0913
V3 0.0000 0.3717 0.7500
Ga1 0.0000 0.0838 0.7500
H1 0.0000 0.4016 0.5581
```

Peak list (10 most intense, 10° ≤ 2θ ≤ 80°, sorted by position)
2theta, Rel. int.
20.3, 12
40.1, 35
41.2, 54
41.4, 100
41.6, 24
46.6, 21
48.6, 14
59.4, 15
63.4, 11
77.4, 13

=====

[4]
V7Ga3H2: computed powder XRD pattern (copper Kα), based on a crystal structure in Alexandria, relaxed with PBE.
Lines closer than 0.1° are merged.

Structure:
```
data_V7Ga3H2
_space_group_name_H-M_alt 'C m m m'
_space_group_IT_number 65
_space_group_name_Hall '-C 2 2'
_cell_length_a 3.6725
_cell_length_b 20.0113
_cell_length_c 3.8375
_cell_angle_alpha 90.00
_cell_angle_beta 90.00
_cell_angle_gamma 90.00
loop_
_atom_site_label
_atom_site_fract_x
_atom_site_fract_y
_atom_site_fract_z
V1 0.0000 0.0000 0.0000
V2 0.0000 0.0986 0.5000
V3 0.0000 0.2026 0.0000
V4 0.0000 0.3985 0.0000
Ga1 0.0000 0.3036 0.5000
Ga2 0.0000 0.5000 0.5000
H1 0.0000 0.0985 0.0000
```

Peak list (10 most intense, 10° ≤ 2θ ≤ 80°, sorted by position)
2theta, Rel. int.
23.2, 1
33.1, 1
34.1, 1
40.8, 100
45.3, 18
47.4, 16
49.6, 14
67.6, 10
69.5, 9
71.1, 9

=====

[5]
V4Ga2H: computed powder XRD pattern (copper Kα), based on a crystal structure in Alexandria, relaxed with PBE.
Lines closer than 0.1° are merged.

Structure:
```
data_V4Ga2H
_space_group_name_H-M_alt 'I 4/m m m'
_space_group_IT_number 139
_space_group_name_Hall '-I 4 2'
_cell_length_a 3.6307
_cell_length_b 3.6307
_cell_length_c 13.4337
_cell_angle_alpha 90.00
_cell_angle_beta 90.00
_cell_angle_gamma 90.00
loop_
_atom_site_label
_atom_site_fract_x
_atom_site_fract_y
_atom_site_fract_z
V1 0.0000 0.0000 0.1658
V2 0.0000 0.5000 0.0000
Ga1 0.0000 0.0000 0.3563
H1 0.0000 0.0000 0.0000
```

Peak list (10 most intense, 10° ≤ 2θ ≤ 80°, sorted by position)
2theta, Rel. int.
25.4, 8
26.5, 8
34.9, 28
37.5, 69
40.3, 37
41.8, 9
44.4, 100
50.3, 52
66.3, 30
73.8, 15

=====

[6]
Zr4Ga5H2: computed powder XRD pattern (copper Kα), based on a crystal structure in Alexandria, relaxed with PBE.
Lines closer than 0.1° are merged.

Structure:
```
data_Zr4Ga5H2
_space_group_name_H-M_alt 'I m m m'
_space_group_IT_number 71
_space_group_name_Hall '-I 2 2'
_cell_length_a 3.0531
_cell_length_b 7.6339
_cell_length_c 16.1082
_cell_angle_alpha 90.00
_cell_angle_beta 90.00
_cell_angle_gamma 90.00
loop_
_atom_site_label
_atom_site_fract_x
_atom_site_fract_y
_atom_site_fract_z
Zr1 0.0000 0.0000 0.1774
Zr2 0.0000 0.3127 0.5000
Ga1 0.0000 0.1727 0.3346
Ga2 0.0000 0.5000 0.0000
H1 0.0000 0.0000 0.0534
```

Peak list (10 most intense, 10° ≤ 2θ ≤ 80°, sorted by position)
2theta, Rel. int.
33.4, 79
33.5, 63
38.2, 58
38.9, 28
39.2, 100
47.4, 39
56.0, 18
63.6, 21
71.0, 17
74.6, 35

=====

[7]
Zr3GaH3: computed powder XRD pattern (copper Kα), based on a crystal structure in Alexandria, relaxed with PBE.
Lines closer than 0.1° are merged.

Structure:
```
data_Zr3GaH3
_space_group_name_H-M_alt 'P m -3 n'
_space_group_IT_number 223
_space_group_name_Hall '-P 4n 2 3'
_cell_length_a 5.7292
_cell_length_b 5.7292
_cell_length_c 5.7292
_cell_angle_alpha 90.00
_cell_angle_beta 90.00
_cell_angle_gamma 90.00
loop_
_atom_site_label
_atom_site_fract_x
_atom_site_fract_y
_atom_site_fract_z
Zr1 0.0000 0.2500 0.5000
Ga1 0.0000 0.0000 0.0000
H1 0.0000 0.5000 0.2500
```

Peak list (10 most intense, 10° ≤ 2θ ≤ 80°, sorted by position)
2theta, Rel. int.
31.2, 29
35.0, 100
38.5, 64
55.6, 11
58.0, 23
60.5, 33
65.1, 15
74.0, 9
76.1, 20
78.3, 8

=====

[8]
Hf5Ga4: computed powder XRD pattern (copper Kα), based on a crystal structure in Alexandria, relaxed with PBE.
Lines closer than 0.1° are merged.

Structure:
```
data_Hf5Ga4
_space_group_name_H-M_alt 'I 4/m'
_space_group_IT_number 87
_space_group_name_Hall '-I 4'
_cell_length_a 11.5005
_cell_length_b 11.5005
_cell_length_c 3.1493
_cell_angle_alpha 90.00
_cell_angle_beta 90.00
_cell_angle_gamma 90.00
loop_
_atom_site_label
_atom_site_fract_x
_atom_site_fract_y
_atom_site_fract_z
Hf1 0.0000 0.0000 0.0000
Hf2 0.1314 0.7899 0.5000
Ga1 0.0606 0.2639 0.0000
```

Peak list (10 most intense, 10° ≤ 2θ ≤ 80°, sorted by position)
2theta, Rel. int.
10.9, 100
15.4, 26
33.0, 35
33.4, 67
34.9, 75
36.9, 96
40.0, 36
40.2, 49
43.3, 30
59.2, 28

=====

[9]
Hf3Ga: computed powder XRD pattern (copper Kα), based on a crystal structure in Alexandria, relaxed with PBE.
Lines closer than 0.1° are merged.

Structure:
```
data_Hf3Ga
_space_group_name_H-M_alt 'I m m 2'
_space_group_IT_number 44
_space_group_name_Hall 'I 2 -2'
_cell_length_a 3.1431
_cell_length_b 10.0024
_cell_length_c 5.2312
_cell_angle_alpha 90.00
_cell_angle_beta 90.00
_cell_angle_gamma 90.00
loop_
_atom_site_label
_atom_site_fract_x
_atom_site_fract_y
_atom_site_fract_z
Hf1 0.0000 0.0000 0.0000
Hf2 0.0000 0.2363 0.3803
Ga1 0.0000 0.5000 0.0325
```

Peak list (10 most intense, 10° ≤ 2θ ≤ 80°, sorted by position)
2theta, Rel. int.
31.8, 9
33.3, 15
34.3, 19
35.9, 33
37.9, 100
38.9, 29
50.5, 12
60.7, 13
65.9, 20
72.7, 24

=====

[10]
Hf3Ga4: computed powder XRD pattern (copper Kα), based on a crystal structure in Alexandria, relaxed with PBE.
Lines closer than 0.1° are merged.

Structure:
```
data_Hf3Ga4
_space_group_name_H-M_alt 'C m c m'
_space_group_IT_number 63
_space_group_name_Hall '-C 2c 2'
_cell_length_a 3.8624
_cell_length_b 10.0400
_cell_length_c 13.1639
_cell_angle_alpha 90.00
_cell_angle_beta 90.00
_cell_angle_gamma 90.00
loop_
_atom_site_label
_atom_site_fract_x
_atom_site_fract_y
_atom_site_fract_z
Hf1 0.0000 0.0170 0.2500
Hf2 0.0000 0.3040 0.0997
Ga1 0.0000 0.0000 0.0000
Ga2 0.0000 0.2517 0.7500
Ga3 0.0000 0.4065 0.6046
```

Peak list (10 most intense, 10° ≤ 2θ ≤ 80°, sorted by position)
2theta, Rel. int.
28.2, 28
32.1, 63
32.5, 41
35.5, 90
36.4, 29
37.0, 100
41.2, 100
41.4, 23
47.1, 42
55.4, 21

=====

[11]
Hf3Ga4: computed powder XRD pattern (copper Kα), based on a crystal structure in Alexandria, relaxed with PBE.
Lines closer than 0.1° are merged.

Structure:
```
data_Hf3Ga4
_space_group_name_H-M_alt 'I 4/m m m'
_space_group_IT_number 139
_space_group_name_Hall '-I 4 2'
_cell_length_a 3.7649
_cell_length_b 3.7649
_cell_length_c 19.2713
_cell_angle_alpha 90.00
_cell_angle_beta 90.00
_cell_angle_gamma 90.00
loop_
_atom_site_label
_atom_site_fract_x
_atom_site_fract_y
_atom_site_fract_z
Hf1 0.0000 0.0000 0.0000
Hf2 0.0000 0.0000 0.2896
Ga1 0.0000 0.0000 0.1452
Ga2 0.0000 0.0000 0.4342
```

Peak list (10 most intense, 10° ≤ 2θ ≤ 80°, sorted by position)
2theta, Rel. int.
18.4, 14
27.5, 23
33.7, 86
38.6, 9
40.6, 100
48.4, 31
56.5, 7
64.9, 50
70.8, 10
78.2, 14

=====

[12]
Hf6Ga3Hg: computed powder XRD pattern (copper Kα), based on a crystal structure in Alexandria, relaxed with PBE.
Lines closer than 0.1° are merged.

Structure:
```
data_Hf6Ga3Hg
_space_group_name_H-M_alt 'C m c m'
_space_group_IT_number 63
_space_group_name_Hall '-C 2c 2'
_cell_length_a 10.6799
_cell_length_b 10.6886
_cell_length_c 7.0256
_cell_angle_alpha 90.00
_cell_angle_beta 90.00
_cell_angle_gamma 90.00
loop_
_atom_site_label
_atom_site_fract_x
_atom_site_fract_y
_atom_site_fract_z
Hf1 0.0000 0.1709 0.0141
Hf2 0.1836 0.5000 0.0000
Hf3 0.2441 0.2531 0.2500
Ga1 0.0000 0.3763 0.2500
Ga2 0.1219 0.0067 0.7500
Hg1 0.0000 0.3715 0.7500
```

Peak list (10 most intense, 10° ≤ 2θ ≤ 80°, sorted by position)
2theta, Rel. int.
33.6, 21
34.9, 56
36.9, 100
37.6, 58
49.8, 12
52.1, 16
56.7, 18
58.1, 14
66.0, 22
68.8, 16